[1]
This entry pairs a crystal structure of Li3Mn4O8 with its computed PXRD pattern. Radiation: Cu Kα X-rays. Structure: a GGA+U-relaxed structure.
Neutral-atom scattering factors, no anomalous dispersion.

Structure:
Lattice parameters (Å, degrees): 6.0813 6.1128 8.1045 90.52 90.27 93.52
Space group P-1 (No. 2)
Inequivalent atoms, fractional coordinates:
Li (0.0000, 0.0000, 0.0000) (multiplicity 1)
Li (0.0000, 0.0000, 0.5000) (multiplicity 1)
Li (0.2477, 0.7525, 0.2501) (multiplicity 2)
Li (0.5000, 0.5000, 0.0000) (multiplicity 1)
Li (0.5000, 0.5000, 0.5000) (multiplicity 1)
Mn (0.0000, 0.5000, 0.5000) (multiplicity 1)
Mn (0.2501, 0.2504, 0.2499) (multiplicity 2)
Mn (0.2505, 0.2502, 0.7499) (multiplicity 2)
Mn (0.2498, 0.7503, 0.7500) (multiplicity 2)
Mn (0.5000, 0.0000, 0.0000) (multiplicity 1)
O (0.0179, 0.9647, 0.7505) (multiplicity 2)
O (0.0186, 0.5063, 0.7388) (multiplicity 2)
O (0.2195, 0.2831, 0.4925) (multiplicity 2)
O (0.2297, 0.7307, 0.5097) (multiplicity 2)
O (0.2697, 0.7699, 0.9903) (multiplicity 2)
O (0.2809, 0.2173, 0.0074) (multiplicity 2)
O (0.4811, 0.5362, 0.7495) (multiplicity 2)
O (0.4814, 0.9938, 0.7612) (multiplicity 2)

Peak list (8 most intense, 15 to 90 degrees two-theta, low angle first)
2θ 18.16, rel. 100, (0 1 -1)
2θ 21.27, rel. 18, (1 1 0)
2θ 21.94, rel. 21, (0 0 2)
2θ 29.85, rel. 16, (1 -1 2)
2θ 36.49, rel. 12, (1 0 3)
2θ 40.62, rel. 42, (2 -2 0)
2θ 43.33, rel. 36, (2 2 0)
2θ 44.73, rel. 33, (0 0 4)

[2]
This entry pairs a crystal structure of Cs2FeHF6 with its computed PXRD pattern. Radiation: Cu Kα X-rays. Structure: a GGA+U-relaxed structure.
Neutral-atom scattering factors, no anomalous dispersion.

Structure:
Lattice parameters (Å, degrees): 6.8580 6.8580 7.8819 90.00 90.00 90.00
Space group I4mm (No. 107)
Inequivalent atoms, fractional coordinates:
Cs (0.0000, 0.5000, 0.0000) (multiplicity 4)
Fe (0.0000, 0.0000, 0.2820) (multiplicity 2)
H (0.0000, 0.0000, 0.7231) (multiplicity 2)
F (0.0000, 0.0000, 0.5328) (multiplicity 2)
F (0.0000, 0.0000, 0.8483) (multiplicity 2)
F (0.1898, 0.1898, 0.2465) (multiplicity 8)

Peak list (8 most intense, 15 to 90 degrees two-theta, low angle first)
2θ 17.14, rel. 18, (1 0 1)
2θ 18.29, rel. 32, (1 1 0)
2θ 25.98, rel. 61, (2 0 0)
2θ 29.20, rel. 100, (1 1 2)
2θ 34.68, rel. 48, (2 0 2)
2θ 37.08, rel. 42, (2 2 0)
2θ 47.88, rel. 39, (3 1 2)
2θ 60.36, rel. 15, (4 2 0)

[3]
This entry pairs a crystal structure of NaOsWO6 with its computed PXRD pattern. Radiation: Cu Kα X-rays. Structure: a GGA+U-relaxed structure.
Neutral-atom scattering factors, no anomalous dispersion.

Structure:
Lattice parameters (Å, degrees): 7.2055 7.3719 10.3951 90.00 90.00 90.00
Space group Imma (No. 74)
Inequivalent atoms, fractional coordinates:
Na (0.0000, 0.2500, 0.1937) (multiplicity 4)
Os (0.2500, 0.2500, 0.7500) (multiplicity 4)
W (0.0000, 0.0000, 0.5000) (multiplicity 4)
O (0.0000, 0.2500, 0.4311) (multiplicity 4)
O (0.0000, 0.2500, 0.7964) (multiplicity 4)
O (0.1935, 0.0590, 0.6217) (multiplicity 16)

Peak list (8 most intense, 15 to 90 degrees two-theta, low angle first)
2θ 28.50, rel. 78, (1 2 1)
2θ 28.59, rel. 30, (1 0 3)
2θ 28.89, rel. 64, (2 1 1)
2θ 29.71, rel. 100, (0 2 2)
2θ 30.18, rel. 74, (2 0 2)
2θ 34.82, rel. 32, (2 2 0)
2θ 49.84, rel. 49, (2 2 4)
2θ 59.85, rel. 28, (4 2 2)